Theoretical XRD peak list
Compound: AcMgNi10
Radiation: a wavelength of 1.5418 Å
Structure: a cell relaxed with GGA-PBE
Kinematic intensities with the Lorentz-polarization factor, no thermal factor.

Structural model:
```
AcMgNi10
1.0
4.008 0.000 0.000
0.000 4.869 0.000
0.000 0.000 8.552
Ac Mg Ni
1 1 10
Cartesian
0.000 0.000 0.000
0.000 2.434 4.276
0.000 0.000 2.974
0.000 0.000 5.578
0.000 2.434 1.641
0.000 2.434 6.911
2.004 0.000 4.276
2.004 1.237 2.234
2.004 1.237 6.318
2.004 2.434 0.000
2.004 3.632 2.234
2.004 3.632 6.318
```

Principal peaks in the range 2θ from 10° to 80°, low angle first:
2θ (°), I_rel
10.34, 40
27.77, 28
30.73, 43
36.53, 27
42.74, 33
43.15, 100
43.49, 52
45.24, 45